No. 1
For Ag2WO4, DFT lattice parameters and positions (PBE+U) gives the theoretical powder diffractogram in this record (a wavelength of 1.5418 Å).

Most intense lines, 2θ from 10° to 90°, sorted by position:
2θ 16.55, intensity 10, hkl 1 0 1
2θ 30.03, intensity 23, hkl 2 0 0
2θ 30.95, intensity 100, hkl 1 2 3
2θ 32.07, intensity 21, hkl 0 4 0
2θ 44.51, intensity 21, hkl 2 4 0
2θ 53.91, intensity 20, hkl 3 2 3
2θ 54.33, intensity 9, hkl 2 0 6
2θ 55.61, intensity 8, hkl 0 4 6
2θ 56.47, intensity 19, hkl 1 6 3
2θ 64.50, intensity 9, hkl 2 4 6

Crystal structure
a = 5.9505 Å, b = 11.1641 Å, c = 12.3045 Å
α = 90.00°, β = 90.00°, γ = 90.00°
Space group Pnn2 (No. 34)
Symmetry-distinct sites (fractional):
Ag: 0.0000 0.0000 0.0000
Ag: 0.0000 0.0000 0.3267
Ag: 0.0000 0.0000 0.6646
Ag: 0.0000 0.5000 0.0156
Ag: 0.0132 0.2458 0.1834
Ag: 0.0204 0.2378 0.8287
W: 0.0000 0.5000 0.3628
W: 0.0000 0.5000 0.6519
W: 0.0359 0.2494 0.5051
O: 0.1276 0.8109 0.3901
O: 0.1354 0.8114 0.6181
O: 0.1497 0.5872 0.5062
O: 0.1858 0.5795 0.7446
O: 0.1921 0.5751 0.2701
O: 0.1985 0.3666 0.6177
O: 0.2005 0.3657 0.3948
O: 0.2111 0.6539 0.0089



No. 2
For Ag2WO4, DFT lattice parameters and positions (PBE+U) gives the theoretical powder diffractogram in this record (a wavelength of 1.5418 Å).

Most intense lines, 2θ from 10° to 90°, sorted by position:
2θ 16.38, intensity 10, hkl 1 0 1
2θ 29.36, intensity 23, hkl 2 0 0
2θ 31.24, intensity 100, hkl 1 2 3
2θ 31.41, intensity 21, hkl 0 4 0
2θ 43.53, intensity 23, hkl 2 4 0
2θ 53.27, intensity 20, hkl 3 2 3
2θ 55.50, intensity 9, hkl 2 0 6
2θ 55.81, intensity 18, hkl 1 6 3
2θ 56.75, intensity 8, hkl 0 4 6
2θ 65.17, intensity 10, hkl 2 4 6

Crystal structure
a = 6.0833 Å, b = 11.3925 Å, c = 11.8422 Å
α = 90.00°, β = 90.00°, γ = 90.00°
Space group Pnn2 (No. 34)
Symmetry-distinct sites (fractional):
Ag: 0.0000 0.0000 0.0000
Ag: 0.0000 0.0000 0.3422
Ag: 0.0000 0.0000 0.6972
Ag: 0.0000 0.5000 0.3503
Ag: 0.0040 0.2402 0.1659
Ag: 0.0121 0.2323 0.5206
W: 0.0000 0.5000 0.6919
W: 0.0000 0.5000 0.9898
W: 0.0391 0.2591 0.8418
O: 0.1514 0.5759 0.8400
O: 0.1892 0.3622 0.7176
O: 0.1955 0.5807 0.0794
O: 0.1975 0.5765 0.6016
O: 0.1980 0.3665 0.9634
O: 0.2209 0.8369 0.7623
O: 0.2380 0.1282 0.8481
O: 0.2377 0.8193 0.8957



No. 3
For YAgW2O8, DFT lattice parameters and positions (PBE+U) gives the theoretical powder diffractogram in this record (a wavelength of 1.5418 Å).

Most intense lines, 2θ from 10° to 90°, sorted by position:
2θ 17.67, intensity 27, hkl 2 0 -1
2θ 27.59, intensity 100, hkl 2 2 0
2θ 28.18, intensity 40, hkl 3 1 -1
2θ 29.67, intensity 57, hkl 2 2 -2
2θ 30.58, intensity 41, hkl 0 0 2
2θ 34.37, intensity 22, hkl 1 3 1
2θ 41.62, intensity 21, hkl 2 4 -2
2θ 45.66, intensity 23, hkl 3 1 1
2θ 50.33, intensity 17, hkl 4 0 -4
2θ 55.37, intensity 16, hkl 5 3 -1

Crystal structure
a = 10.0954 Å, b = 10.8415 Å, c = 7.3298 Å
α = 90.00°, β = 127.09°, γ = 90.00°
Space group C2/m (No. 12)
Symmetry-distinct sites (fractional):
Y: 0.0000 0.1987 0.0000
Ag: 0.1831 0.0000 0.5174
W: 0.0000 0.3355 0.5000
W: 0.2115 0.5000 0.9688
O: 0.0218 0.5000 0.3417
O: 0.0480 0.2332 0.3519
O: 0.0560 0.0000 0.8641
O: 0.1713 0.3699 0.0867
O: 0.2274 0.3746 0.7567



No. 4
For YAgW2O8, DFT lattice parameters and positions (PBE+U) gives the theoretical powder diffractogram in this record (a wavelength of 1.5418 Å).

Most intense lines, 2θ from 10° to 90°, sorted by position:
2θ 17.15, intensity 21, hkl 0 0 2
2θ 22.71, intensity 46, hkl 0 1 2
2θ 27.92, intensity 100, hkl 1 1 1
2θ 28.99, intensity 89, hkl 1 1 -3
2θ 34.25, intensity 29, hkl 2 0 -2
2θ 34.45, intensity 33, hkl 1 2 -1
2θ 34.71, intensity 21, hkl 0 0 4
2θ 48.82, intensity 26, hkl 0 3 2
2θ 49.04, intensity 18, hkl 1 2 3
2θ 50.38, intensity 21, hkl 1 2 -5

Crystal structure
a = 5.2429 Å, b = 6.0001 Å, c = 11.3627 Å
α = 90.00°, β = 114.53°, γ = 90.00°
Space group P2/c (No. 13)
Symmetry-distinct sites (fractional):
Y: 0.0000 0.1874 0.2500
Ag: 0.5000 0.1945 0.7500
W: 0.2401 0.3314 0.9932
O: 0.1415 0.4195 0.6071
O: 0.2221 0.1445 0.1173
O: 0.2438 0.1212 0.8774
O: 0.3481 0.3919 0.4061